1.
# LaCe2Ge6
Simulated XRD peak list, Cu Kα X-rays. Input: the GGA-PBE geometry in Alexandria.
Lines closer than 0.1° are merged.

Most intense lines, 2θ from 10° to 90°, by intensity:
2θ = 32.0°, d 2.800, intensity 100
2θ = 41.1°, d 2.195, intensity 46
2θ = 61.6°, d 1.506, intensity 27
2θ = 53.0°, d 1.728, intensity 24
2θ = 69.2°, d 1.357, intensity 21
2θ = 43.7°, d 2.070, intensity 13
2θ = 23.4°, d 3.802, intensity 10
2θ = 72.9°, d 1.297, intensity 9
2θ = 74.9°, d 1.267, intensity 8
2θ = 87.3°, d 1.117, intensity 6
2θ = 89.2°, d 1.097, intensity 5
2θ = 50.2°, d 1.818, intensity 2

Structure:
a = 7.603 Å, b = 7.603 Å, c = 4.141 Å
α = 90.00°, β = 90.00°, γ = 120.00°
Sites, in units of the cell vectors:
La 0.000 0.000 0.000
Ce 0.333 0.667 0.000
Ce 0.667 0.333 0.000
Ge 0.000 0.336 0.500
Ge 0.000 0.664 0.500
Ge 0.336 0.000 0.500
Ge 0.336 0.336 0.500
Ge 0.664 0.000 0.500
Ge 0.664 0.664 0.500


2.
# SnPb5Cl12
Simulated XRD peak list, Cu Kα X-rays. Input: the GGA-PBE geometry in Alexandria.
Lines closer than 0.1° are merged.

Most intense lines, 2θ from 10° to 90°, by intensity:
2θ = 13.9°, d 6.382, intensity 100
2θ = 24.4°, d 3.641, intensity 73
2θ = 31.6°, d 2.834, intensity 67
2θ = 41.9°, d 2.154, intensity 40
2θ = 42.7°, d 2.119, intensity 32
2θ = 27.4°, d 3.255, intensity 21
2θ = 27.5°, d 3.248, intensity 18
2θ = 23.6°, d 3.777, intensity 18
2θ = 36.8°, d 2.440, intensity 13
2θ = 41.1°, d 2.198, intensity 12
2θ = 36.9°, d 2.435, intensity 12
2θ = 43.6°, d 2.078, intensity 12

Structure:
a = 7.598 Å, b = 7.598 Å, c = 12.765 Å
α = 90.05°, β = 90.05°, γ = 120.38°
Sites, in units of the cell vectors:
Sn 0.000 0.000 0.000
Pb 0.167 0.833 0.500
Pb 0.333 0.667 0.000
Pb 0.500 0.500 0.500
Pb 0.667 0.333 0.000
Pb 0.833 0.167 0.500
Cl 0.000 0.329 0.115
Cl 0.000 0.671 0.885
Cl 0.166 0.166 0.383
Cl 0.168 0.501 0.617
Cl 0.329 0.000 0.115
Cl 0.329 0.329 0.885
Cl 0.499 0.832 0.383
Cl 0.501 0.168 0.617
Cl 0.671 0.000 0.885
Cl 0.671 0.671 0.115
Cl 0.832 0.499 0.383
Cl 0.834 0.834 0.617


3.
# Sm7Co2Sb2
Simulated XRD peak list, Cu Kα X-rays. Input: the GGA-PBE geometry in Alexandria.
Lines closer than 0.1° are merged.

Most intense lines, 2θ from 10° to 90°, by intensity:
2θ = 33.1°, d 2.703, intensity 100
2θ = 32.5°, d 2.757, intensity 69
2θ = 33.7°, d 2.659, intensity 67
2θ = 29.6°, d 3.014, intensity 49
2θ = 57.2°, d 1.612, intensity 32
2θ = 45.7°, d 1.986, intensity 29
2θ = 37.7°, d 2.388, intensity 26
2θ = 29.5°, d 3.032, intensity 25
2θ = 28.0°, d 3.183, intensity 24
2θ = 35.9°, d 2.503, intensity 20
2θ = 28.2°, d 3.160, intensity 18
2θ = 49.8°, d 1.830, intensity 16

Structure:
a = 9.541 Å, b = 9.541 Å, c = 9.541 Å
α = 155.97°, β = 66.45°, γ = 119.10°
Sites, in units of the cell vectors:
Sm 0.000 0.000 0.000
Sm 0.289 0.416 0.873
Sm 0.300 0.615 0.685
Sm 0.544 0.416 0.127
Sm 0.615 0.263 0.352
Sm 0.911 0.263 0.648
Sm 0.930 0.615 0.315
Co 0.169 0.932 0.238
Co 0.694 0.932 0.762
Sb 0.256 0.756 0.500
Sb 0.672 0.672 0.000


4.
# BaTi4ZnO8
Simulated XRD peak list, Cu Kα X-rays. Input: the GGA-PBE geometry in Alexandria.
Lines closer than 0.1° are merged.

Most intense lines, 2θ from 10° to 90°, by intensity:
2θ = 25.1°, d 3.545, intensity 100
2θ = 31.0°, d 2.887, intensity 61
2θ = 32.3°, d 2.775, intensity 25
2θ = 51.7°, d 1.769, intensity 25
2θ = 40.3°, d 2.239, intensity 22
2θ = 55.1°, d 1.667, intensity 19
2θ = 35.9°, d 2.503, intensity 17
2θ = 32.2°, d 2.784, intensity 15
2θ = 64.3°, d 1.449, intensity 15
2θ = 40.2°, d 2.246, intensity 14
2θ = 70.4°, d 1.337, intensity 11
2θ = 55.9°, d 1.645, intensity 10

Structure:
a = 5.774 Å, b = 5.774 Å, c = 10.053 Å
α = 90.00°, β = 90.00°, γ = 120.00°
Sites, in units of the cell vectors:
Ba 0.000 0.000 0.000
Ti 0.333 0.667 0.185
Ti 0.333 0.667 0.815
Ti 0.667 0.333 0.185
Ti 0.667 0.333 0.815
Zn 0.000 0.000 0.500
O 0.000 0.365 0.218
O 0.000 0.635 0.782
O 0.333 0.667 0.000
O 0.365 0.000 0.218
O 0.365 0.365 0.782
O 0.635 0.000 0.782
O 0.635 0.635 0.218
O 0.667 0.333 0.000


> Which formula does entry 3 have?

Sm7Co2Sb2